Record 1
The following is a simulated powder diffraction line list of KRb2PbF8. It was derived from a structure optimized by DFT (PBE), using a wavelength of 1.5418 Å.
Neutral-atom scattering factors, no anomalous dispersion.

Largest 10 diffraction maxima, in order of rising 2θ, 2θ from 10° to 90°:
Position (°2θ)	Rel. int.
10.79	75
18.55	27
20.41	34
22.00	60
23.93	56
26.49	100
27.85	39
34.95	30
40.52	46
42.78	31

Cell and atoms:
```
KRb2PbF8
1.0
5.152 0.000 0.000
0.000 8.198 0.000
-0.493 0.000 5.889
K Rb Pb F
1 2 1 8
direct
0.000 0.000 0.000 K
0.500 0.259 0.500 Rb
0.500 0.741 0.500 Rb
0.000 0.500 0.000 Pb
0.082 0.307 0.777 F
0.082 0.693 0.777 F
0.368 0.500 0.186 F
0.498 0.000 0.830 F
0.502 0.000 0.170 F
0.632 0.500 0.814 F
0.918 0.307 0.223 F
0.918 0.693 0.223 F
```


Record 2
The following is a simulated powder diffraction line list of KPbSF. It was derived from a structure optimized by DFT (PBE), using a wavelength of 1.5418 Å.
Neutral-atom scattering factors, no anomalous dispersion.

Largest 10 diffraction maxima, in order of rising 2θ, 2θ from 10° to 90°:
Position (°2θ)	Rel. int.
21.54	100
25.16	52
28.78	52
34.09	23
35.35	27
36.40	63
37.43	16
42.69	17
44.91	21
50.73	43

Cell and atoms:
```
KPbSF
1.0
2.468 1.425 10.520
-2.468 1.425 10.520
0.000 -2.850 10.520
K Pb S F
2 2 2 2
direct
0.125 0.125 0.125 K
0.875 0.875 0.875 K
0.288 0.288 0.288 Pb
0.712 0.712 0.712 Pb
0.384 0.384 0.384 S
0.616 0.616 0.616 S
0.207 0.207 0.207 F
0.793 0.793 0.793 F
```


Record 3
The following is a simulated powder diffraction line list of KScPbF6. It was derived from a structure optimized by DFT (PBE), using a wavelength of 1.5418 Å.
Neutral-atom scattering factors, no anomalous dispersion.

Largest 10 diffraction maxima, in order of rising 2θ, 2θ from 10° to 90°:
Position (°2θ)	Rel. int.
17.18	61
26.06	100
29.99	42
34.77	16
36.00	23
40.14	55
43.35	25
50.37	15
50.91	35
62.65	17

Cell and atoms:
```
KScPbF6
1.0
5.959 0.000 0.000
-2.980 5.161 0.000
0.000 0.000 4.564
K Sc Pb F
1 1 1 6
direct
0.000 0.000 0.000 K
0.667 0.333 0.261 Sc
0.333 0.667 0.640 Pb
0.000 0.557 0.021 F
0.347 0.094 0.497 F
0.443 0.443 0.021 F
0.557 0.000 0.021 F
0.747 0.653 0.497 F
0.906 0.253 0.497 F
```